1.
TaMoIr6: computed powder diffractogram (CuKα), based on a structure optimized by DFT (PBE).
Lines closer than 0.1° are merged.

Crystal structure
```
TaMoIr6
1.0
5.534 0.000 0.000
0.000 5.534 0.000
0.000 0.000 3.900
Ta Mo Ir
1 1 6
Direct
0.000 0.000 0.000 Ta
0.500 0.500 0.000 Mo
0.000 0.500 0.000 Ir
0.254 0.254 0.500 Ir
0.254 0.746 0.500 Ir
0.500 0.000 0.000 Ir
0.746 0.254 0.500 Ir
0.746 0.746 0.500 Ir
```

Largest 10 diffraction maxima, most intense first, 2θ from 15° to 90°:
d/Å, Position (°2θ), I/Imax, h k l
2.257, 40.0, 100, 2 0 1
1.957, 46.4, 33, 2 2 0
1.179, 81.6, 26, 4 2 1
1.381, 67.9, 21, 2 2 2
1.950, 46.6, 16, 0 0 2
1.177, 81.9, 13, 2 0 3
1.128, 86.2, 11, 4 0 2
1.384, 67.7, 11, 4 0 0
3.909, 22.8, 2, 0 0 1
2.764, 32.4, 1, 1 1 1


2.
TaMoIrW2: computed powder diffractogram (CuKα), based on a structure optimized by DFT (PBE).
Lines closer than 0.1° are merged.

Crystal structure
```
TaMoIrW2
1.0
4.700 0.000 0.000
0.000 4.700 0.000
0.000 0.000 4.616
Ta Mo Ir W
1 1 1 2
Direct
0.000 0.000 0.000 Ta
0.000 0.000 0.500 Mo
0.500 0.500 0.500 Ir
0.000 0.500 0.000 W
0.500 0.000 0.000 W
```

Largest 10 diffraction maxima, most intense first, 2θ from 15° to 90°:
d/Å, Position (°2θ), I/Imax, h k l
2.350, 38.3, 100, 2 0 0
2.697, 33.2, 95, 1 1 1
1.647, 55.8, 68, 2 0 2
3.293, 27.1, 52, 1 0 1
2.308, 39.0, 47, 0 0 2
1.348, 69.7, 35, 2 2 2
1.662, 55.3, 35, 2 2 0
1.415, 66.0, 26, 3 1 1
4.616, 19.2, 26, 0 0 1
1.913, 47.5, 24, 2 1 1


What is the formula in the first record? TaMoIr6